1.
Theoretical PXRD pattern
Compound: KZn2AgF8
Radiation: copper Kα
Structure: a GGA-PBE-relaxed structure
Peak positions follow from Bragg's law for the DFT cell and can differ from measured ones.

Most intense lines, 10° ≤ 2θ ≤ 80°, most intense first:
d (Å)  Position (°2θ)  I/Imax
3.845  23.13  100
3.571  24.94  68
6.598  13.42  29
2.801  31.95  25
2.824  31.69  21
2.759  32.46  21
2.781  32.19  18
1.958  46.37  18

Atomic structure:
a = 5.175 Å, b = 5.325 Å, c = 6.600 Å
α = 88.95°, β = 88.96°, γ = 85.74°
Element x y z (fractional)
1 K 0.000 0.000 0.000
2 Zn 0.498 0.497 0.743
3 Zn 0.502 0.503 0.257
4 Ag 0.000 0.000 0.500
5 F 0.214 0.796 0.705
6 F 0.232 0.814 0.294
7 F 0.317 0.344 0.492
8 F 0.330 0.351 0.991
9 F 0.670 0.649 0.009
10 F 0.683 0.656 0.508
11 F 0.768 0.186 0.706
12 F 0.786 0.204 0.295



2.
Theoretical PXRD pattern
Compound: KZn4Ag3F12
Radiation: copper Kα
Structure: a GGA-PBE-relaxed structure
Peak positions follow from Bragg's law for the DFT cell and can differ from measured ones.

Most intense lines, 10° ≤ 2θ ≤ 80°, most intense first:
d (Å)  Position (°2θ)  I/Imax
2.873  31.13  100
1.659  55.39  44
2.031  44.60  37
1.436  64.92  19
1.285  73.74  16
2.346  38.37  9
5.746  15.42  8
3.317  26.88  5

Atomic structure:
a = 7.037 Å, b = 7.037 Å, c = 7.037 Å
α = 109.47°, β = 109.47°, γ = 109.47°
Element x y z (fractional)
1 K 0.000 0.000 0.000
2 Zn 0.000 0.000 0.500
3 Zn 0.000 0.500 0.000
4 Zn 0.500 0.000 0.000
5 Zn 0.500 0.500 0.500
6 Ag 0.000 0.500 0.500
7 Ag 0.500 0.000 0.500
8 Ag 0.500 0.500 0.000
9 F 0.071 0.789 0.282
10 F 0.211 0.282 0.493
11 F 0.211 0.718 0.929
12 F 0.282 0.071 0.789
13 F 0.282 0.493 0.211
14 F 0.493 0.211 0.282
15 F 0.507 0.789 0.718
16 F 0.718 0.507 0.789
17 F 0.718 0.929 0.211
18 F 0.789 0.282 0.071
19 F 0.789 0.718 0.507
20 F 0.929 0.211 0.718



3.
Theoretical PXRD pattern
Compound: LaAg2F8
Radiation: copper Kα
Structure: a GGA-PBE-relaxed structure
Peak positions follow from Bragg's law for the DFT cell and can differ from measured ones.

Most intense lines, 10° ≤ 2θ ≤ 80°, most intense first:
d (Å)  Position (°2θ)  I/Imax
3.301  27.01  100
5.136  17.26  48
2.010  45.11  38
1.738  52.66  31
2.891  30.93  18
2.044  44.31  17
2.519  35.64  16
1.696  54.07  14

Atomic structure:
a = 6.928 Å, b = 6.928 Å, c = 6.928 Å
α = 130.67°, β = 130.67°, γ = 72.34°
Element x y z (fractional)
1 La 0.000 0.000 0.000
2 Ag 0.250 0.750 0.500
3 Ag 0.750 0.250 0.500
4 F 0.041 0.571 0.859
5 F 0.181 0.041 0.470
6 F 0.289 0.429 0.470
7 F 0.429 0.959 0.141
8 F 0.571 0.711 0.530
9 F 0.711 0.181 0.141
10 F 0.819 0.289 0.859
11 F 0.959 0.819 0.530



4.
Theoretical PXRD pattern
Compound: LaAgN2F
Radiation: copper Kα
Structure: a GGA-PBE-relaxed structure
Peak positions follow from Bragg's law for the DFT cell and can differ from measured ones.

Most intense lines, 10° ≤ 2θ ≤ 80°, most intense first:
d (Å)  Position (°2θ)  I/Imax
2.986  29.93  100
2.897  30.87  51
1.689  54.31  37
2.048  44.22  28
1.742  52.53  23
1.493  62.18  19
2.180  41.41  17
1.370  68.49  9

Atomic structure:
a = 4.097 Å, b = 4.097 Å, c = 4.361 Å
α = 90.00°, β = 90.00°, γ = 90.00°
Element x y z (fractional)
1 La 0.000 0.000 0.000
2 Ag 0.500 0.500 0.500
3 N 0.000 0.500 0.500
4 N 0.500 0.000 0.500
5 F 0.500 0.500 0.000



5.
Theoretical PXRD pattern
Compound: LaAgPF
Radiation: copper Kα
Structure: a GGA-PBE-relaxed structure
Peak positions follow from Bragg's law for the DFT cell and can differ from measured ones.

Most intense lines, 10° ≤ 2θ ≤ 80°, most intense first:
d (Å)  Position (°2θ)  I/Imax
2.417  37.19  100
3.010  29.68  47
2.733  32.77  46
3.698  24.07  46
2.029  44.66  44
2.991  29.87  30
1.963  46.24  24
1.679  54.66  22

Atomic structure:
a = 4.058 Å, b = 4.058 Å, c = 8.973 Å
α = 90.00°, β = 90.00°, γ = 90.00°
Element x y z (fractional)
1 La 0.250 0.250 0.181
2 La 0.750 0.750 0.819
3 Ag 0.250 0.750 0.500
4 Ag 0.750 0.250 0.500
5 P 0.250 0.250 0.696
6 P 0.750 0.750 0.304
7 F 0.250 0.750 0.000
8 F 0.750 0.250 0.000



6.
Theoretical PXRD pattern
Compound: SrLaAgF2
Radiation: copper Kα
Structure: a GGA-PBE-relaxed structure
Peak positions follow from Bragg's law for the DFT cell and can differ from measured ones.

Most intense lines, 10° ≤ 2θ ≤ 80°, most intense first:
d (Å)  Position (°2θ)  I/Imax
4.171  21.30  100
2.566  34.96  69
4.031  22.05  66
3.256  27.39  65
2.015  44.98  54
2.302  39.13  40
1.756  52.08  22
4.604  19.28  22

Atomic structure:
a = 4.604 Å, b = 4.604 Å, c = 8.341 Å
α = 90.00°, β = 90.00°, γ = 90.00°
Element x y z (fractional)
1 Sr 0.000 0.000 0.000
2 La 0.000 0.000 0.500
3 Ag 0.500 0.500 0.000
4 F 0.000 0.500 0.500
5 F 0.500 0.000 0.500